The following is a computed PXRD pattern of LiCoBO3. It was derived from the PBE+U geometry in the Materials Project, using Cu Kα X-rays.
Intensities are scaled so that the largest is 100.

Principal peaks in the range 10 to 90 degrees two-theta, by angle:
| d [Å] | 2theta | I_rel | h k l |
| --- | --- | --- | --- |
| 6.554 | 13.51 | 71 | 0 1 1 |
| 4.551 | 19.50 | 100 | 0 0 2 |
| 4.192 | 21.19 | 67 | 0 2 1 |
| 3.277 | 27.21 | 68 | 0 2 2 |
| 2.889 | 30.96 | 36 | 0 1 3 |
| 2.602 | 34.46 | 41 | 1 2 -1 |
| 2.502 | 35.89 | 48 | 1 2 -2 |
| 1.787 | 51.12 | 30 | 1 3 -4 |
| 1.742 | 52.53 | 27 | 1 4 1 |
| 1.737 | 52.68 | 24 | 1 4 -3 |

Crystal structure
Unit cell a=3.1185 b=9.4450 c=9.6053 alpha=90.00 beta=108.62 gamma=90.00
Fractional positions:
Li  0.0000  0.0483  0.0000
Li  0.0000  0.9517  0.5000
Li  0.2208  0.4509  0.7337
Li  0.2208  0.5491  0.2337
Co  0.5667  0.1897  0.5725
Co  0.5667  0.8103  0.0725
Co  0.6629  0.3103  0.1609
Co  0.6629  0.6897  0.6609
B  0.2641  0.0400  0.2628
B  0.2641  0.9600  0.7628
B  0.9593  0.4598  0.4706
B  0.9593  0.5402  0.9706
O  0.0429  0.3319  0.5497
O  0.0435  0.4163  0.0526
O  0.0435  0.5837  0.5526
O  0.0429  0.6681  0.0497
O  0.1781  0.0841  0.6809
O  0.1781  0.9159  0.1809
O  0.1872  0.1678  0.1834
O  0.1872  0.8322  0.6834
O  0.4151  0.0355  0.4134
O  0.4151  0.9645  0.9134
O  0.8037  0.4644  0.3201
O  0.8037  0.5356  0.8201